For Al4Cu9, a DFT-relaxed cell (GGA-PBE, the Materials Project) gives the calculated powder diffraction line list in this record (Cu Kα).

Atomic structure:
```
52
Lattice="8.7015 0.0000 0.0000 0.0000 8.7015 0.0000 0.0000 0.0000 8.7015" Properties=species:S:1:pos:R:3 pbc="T T T"
Al 0.2977 2.6957 2.6957
Al 0.2977 6.0057 6.0057
Al 2.6957 0.2977 2.6957
Al 2.6957 2.6957 0.2977
Al 2.6957 6.0057 8.4038
Al 2.6957 8.4038 6.0057
Al 3.2962 3.2962 5.4052
Al 3.2962 5.4052 3.2962
Al 5.4052 3.2962 3.2962
Al 5.4052 5.4052 5.4052
Al 6.0057 0.2977 6.0057
Al 6.0057 2.6957 8.4038
Al 6.0057 6.0057 0.2977
Al 6.0057 8.4038 2.6957
Al 8.4038 2.6957 6.0057
Al 8.4038 6.0057 2.6957
Cu 0.0000 0.0000 3.0892
Cu 0.0000 0.0000 5.6123
Cu 0.0000 3.0892 0.0000
Cu 0.0000 5.6123 0.0000
Cu 0.9231 0.9231 0.9231
Cu 0.9231 7.7784 7.7784
Cu 1.2554 4.3507 4.3507
Cu 1.5204 1.5204 7.1810
Cu 1.5204 7.1810 1.5204
Cu 1.5982 1.5982 4.6131
Cu 1.5982 4.0884 7.1033
Cu 1.5982 4.6131 1.5982
Cu 1.5982 7.1033 4.0884
Cu 2.8773 2.8773 2.8773
Cu 2.8773 5.8241 5.8241
Cu 3.0892 0.0000 0.0000
Cu 4.0884 1.5982 7.1033
Cu 4.0884 7.1033 1.5982
Cu 4.3507 1.2554 4.3507
Cu 4.3507 4.3507 1.2554
Cu 4.3507 4.3507 7.4461
Cu 4.3507 7.4461 4.3507
Cu 4.6131 1.5982 1.5982
Cu 4.6131 7.1033 7.1033
Cu 5.6123 0.0000 0.0000
Cu 5.8241 2.8773 5.8241
Cu 5.8241 5.8241 2.8773
Cu 7.1033 1.5982 4.0884
Cu 7.1033 4.0884 1.5982
Cu 7.1033 4.6131 7.1033
Cu 7.1033 7.1033 4.6131
Cu 7.1810 1.5204 1.5204
Cu 7.1810 7.1810 7.1810
Cu 7.4461 4.3507 4.3507
Cu 7.7784 0.9231 7.7784
Cu 7.7784 7.7784 0.9231
```

Largest 6 diffraction maxima, by angle, 5° ≤ 2θ ≤ 70°:
| two_theta | I/Imax | hkl |
| --- | --- | --- |
| 22.85 | 4 | 2 1 0 |
| 25.07 | 7 | 2 1 1 |
| 30.83 | 8 | 3 0 0 |
| 44.16 | 100 | 3 3 0 |
| 51.45 | 4 | 4 2 2 |
| 64.22 | 11 | 6 0 0 |